Structure and theoretical X-ray powder pattern of LiSb3TeClO6 (the GGA-PBE geometry in Alexandria; Cu Kα (weighted mean of Kα1 and Kα2)).
No peak broadening, texture or thermal motion is included.

Structure:
Cell lengths 4.235, 9.541, 9.868 Å; angles 118.38, 98.37, 90.28 degrees
Sites, in units of the cell vectors:
Li1 0.000 0.000 0.000
Sb1 0.259 0.994 0.326
Sb2 0.831 0.609 0.584
Sb3 0.847 0.991 0.594
Te1 0.202 0.339 0.307
Cl1 0.469 0.950 0.906
O1 0.314 0.235 0.435
O2 0.321 0.547 0.521
O3 0.325 0.988 0.529
O4 0.777 0.405 0.365
O5 0.777 0.995 0.388
O6 0.810 0.755 0.495

Main lines, most intense first (2θ = 10–90°):
| (hkl) | two_theta | d (Å) | Rel. int. |
| --- | --- | --- | --- |
| 0 0 1 | 10.3 | 8.559 | 100 |
| 0 1 -1 | 10.6 | 8.332 | 25 |
| 0 2 -1 | 18.6 | 4.770 | 18 |
| 0 3 -3 | 32.4 | 2.767 | 18 |
| 1 0 1 | 25.3 | 3.526 | 17 |
| 1 0 -2 | 27.2 | 3.276 | 17 |
| 0 2 0 | 21.3 | 4.181 | 12 |
| 0 3 0 | 32.1 | 2.788 | 12 |
| 0 2 -2 | 21.4 | 4.152 | 11 |
| 0 0 3 | 31.4 | 2.853 | 8 |